Calculated X-ray powder pattern
Compound: Th3Cd3Tc
Radiation: Cu Kα (λ = 1.5418 Å)
Structure: a crystal structure in Alexandria, relaxed with PBE
Intensities are scaled so that the largest is 100.

Cell and atoms:
a = 14.4985 Å, b = 14.4985 Å, c = 14.4985 Å
α = 90.00°, β = 90.00°, γ = 90.00°
Space group Fd-3m (No. 227, origin choice 2)
Symmetry-distinct sites (fractional):
Th: 0.0772 0.3750 0.3750 (multiplicity 48)
Cd: 0.0000 0.0000 0.5000 (multiplicity 16)
Cd: 0.0445 0.0445 0.7055 (multiplicity 32)
Tc: 0.0000 0.0000 0.0000 (multiplicity 16)

Top 10 peaks for 2θ = 10–90°, by intensity:
index, d_spacing, Position (°2θ), I (rel.)
3 3 3, 2.790, 32.08, 100
4 4 0, 2.563, 35.01, 69
4 2 2, 2.959, 30.20, 49
8 2 2, 1.709, 53.64, 48
9 3 3, 1.457, 63.88, 19
7 3 1, 1.888, 48.21, 17
12 2 2, 1.176, 81.92, 17
5 5 1, 2.030, 44.63, 15
7 7 3, 1.402, 66.74, 14
7 3 3, 1.771, 51.60, 12